Structure and computed PXRD pattern of Pm2NpTc2 (a crystal structure in Alexandria, relaxed with GGA-PBE; CuKα).
No peak broadening, texture or thermal motion is included.

Principal peaks in the range 10 to 80 degrees two-theta, by intensity:
- 31.60°, I 100, hkl 0 2 1
- 31.07°, I 65, hkl 2 0 2
- 37.46°, I 55, hkl 2 2 1
- 34.45°, I 41, hkl 3 1 1
- 37.25°, I 40, hkl 1 1 -3
- 36.20°, I 28, hkl 3 1 -2
- 17.16°, I 27, hkl 1 1 0
- 48.24°, I 24, hkl 1 1 -4
- 64.16°, I 23, hkl 6 2 -1
- 40.36°, I 23, hkl 4 0 -2

Structural model:
a = 9.937 Å, b = 6.073 Å, c = 7.951 Å
α = 90.00°, β = 98.32°, γ = 90.00°
Space group C2/c (No. 15)
Inequivalent atoms, fractional coordinates:
Pm  0.151  0.126  0.152 (multiplicity 8)
Np  0.000  0.367  0.750 (multiplicity 4)
Tc  0.123  0.375  0.516 (multiplicity 8)